No. 1
For NdEr3Sc, the GGA-PBE geometry in Alexandria gives the calculated X-ray powder pattern in this record (CuKα).
Intensities are scaled so that the largest is 100.

Crystal structure
Unit cell a=19.508 b=9.687 c=6.477 alpha=90.00 beta=94.03 gamma=90.00
Space group C2/c (No. 15)
Unique sites:
Nd (0.000, 0.106, 0.250)
Nd (0.000, 0.248, 0.750)
Er (0.076, 0.445, 0.399)
Er (0.149, 0.101, 0.597)
Er (0.165, 0.254, 0.084)
Sc (0.217, 0.431, 0.678)

Largest 12 diffraction maxima, low angle first, 2θ = 10–80°:
2theta	d_spacing	intensity
27.50	3.243	17.4
29.78	3.000	32.0
30.08	2.971	40.1
31.16	2.870	53.9
32.16	2.783	64.5
33.20	2.699	57.7
33.55	2.671	100.0
35.16	2.552	21.3
46.13	1.968	14.0
48.40	1.881	13.9
59.74	1.548	15.8
62.41	1.488	14.1

***

No. 2
For Nd3ErSc7, the GGA-PBE geometry in Alexandria gives the calculated X-ray powder pattern in this record (CuKα).
Intensities are scaled so that the largest is 100.

Crystal structure
Unit cell a=12.131 b=10.511 c=5.516 alpha=90.00 beta=116.94 gamma=90.00
Space group C2/m (No. 12)
Unique sites:
Nd (0.000, 0.000, 0.000)
Nd (0.000, 0.217, 0.500)
Er (0.000, 0.500, 0.000)
Sc (0.000, 0.500, 0.500)
Sc (0.209, 0.000, 0.708)
Sc (0.218, 0.190, 0.218)

Largest 12 diffraction maxima, low angle first, 2θ = 10–80°:
2theta	d_spacing	intensity
16.39	5.408	43.8
24.81	3.589	100.0
32.46	2.758	46.1
33.13	2.704	34.7
34.12	2.628	20.4
34.26	2.617	84.5
34.57	2.595	33.2
47.07	1.931	25.5
47.81	1.903	15.5
48.32	1.884	17.3
59.07	1.564	17.3
65.17	1.432	15.8

***

No. 3
For Nd4Er3Sc, the GGA-PBE geometry in Alexandria gives the calculated X-ray powder pattern in this record (CuKα).
Intensities are scaled so that the largest is 100.

Crystal structure
Unit cell a=11.415 b=7.260 c=6.239 alpha=90.00 beta=90.00 gamma=90.00
Space group Pmn2_1 (No. 31)
Unique sites:
Nd (0.000, 0.130, 0.000)
Nd (0.000, 0.867, 0.523)
Nd (0.241, 0.131, 0.354)
Er (0.000, 0.621, 0.018)
Er (0.250, 0.382, 0.846)
Sc (0.000, 0.386, 0.513)

Largest 12 diffraction maxima, low angle first, 2θ = 10–80°:
2theta	d_spacing	intensity
28.45	3.138	23.6
28.62	3.119	12.7
31.35	2.854	36.4
32.57	2.749	100.0
32.72	2.737	48.0
42.84	2.111	15.4
50.27	1.815	9.8
50.59	1.804	18.8
56.61	1.626	29.9
60.45	1.531	10.8
60.73	1.525	21.5
61.28	1.513	15.6